No. 1
Calculated powder diffractogram of SmAl3Pb2O8 for Cu Ka, from a structure optimized by DFT (PBE).

The 10 most intense peaks (2θ from 15° to 90°), in order of rising 2θ:
| 2theta | Rel. int. |
| --- | --- |
| 27.9 | 100.0 |
| 29.4 | 75.4 |
| 30.9 | 65.8 |
| 38.7 | 22.5 |
| 39.8 | 45.5 |
| 48.4 | 29.3 |
| 49.3 | 35.3 |
| 54.0 | 39.1 |
| 55.0 | 25.1 |
| 55.9 | 22.1 |

Crystal structure
a = 9.5979 Å, b = 9.5979 Å, c = 9.5979 Å
α = 90.00°, β = 90.00°, γ = 90.00°
Space group Pn-3m (No. 224, origin choice 2)
Inequivalent atoms, fractional coordinates:
1 Sm 0.0000 0.0000 0.0000 [4 per cell]
2 Al 0.0000 0.2500 0.7500 [12 per cell]
3 Pb 0.1169 0.1169 0.3831 [8 per cell]
4 O 0.0928 0.0928 0.7644 [24 per cell]
5 O 0.1396 0.1396 0.1396 [8 per cell]



No. 2
Calculated powder diffractogram of AlTl2PbO6 for Cu Ka, from a structure optimized by DFT (PBE).

The 10 most intense peaks (2θ from 15° to 90°), in order of rising 2θ:
| 2theta | Rel. int. |
| --- | --- |
| 19.1 | 26.4 |
| 21.8 | 23.1 |
| 30.4 | 100.0 |
| 31.7 | 89.3 |
| 44.5 | 39.9 |
| 49.1 | 17.6 |
| 53.0 | 17.1 |
| 55.7 | 40.0 |
| 56.5 | 24.3 |
| 74.7 | 15.9 |

Crystal structure
a = 5.6377 Å, b = 5.6377 Å, c = 14.7639 Å
α = 90.00°, β = 90.00°, γ = 120.00°
Space group R3 (No. 146, hexagonal axes)
Inequivalent atoms, fractional coordinates:
1 Al 0.0000 0.0000 0.0000 [3 per cell]
2 Tl 0.0000 0.0000 0.2206 [3 per cell]
3 Tl 0.0000 0.0000 0.7095 [3 per cell]
4 Pb 0.0000 0.0000 0.4876 [3 per cell]
5 O 0.0082 0.7350 0.0880 [9 per cell]
6 O 0.0529 0.3496 0.6014 [9 per cell]



No. 3
Calculated powder diffractogram of AlZnPbO4 for Cu Ka, from a structure optimized by DFT (PBE).

The 10 most intense peaks (2θ from 15° to 90°), in order of rising 2θ:
| 2theta | Rel. int. |
| --- | --- |
| 17.4 | 49.9 |
| 19.7 | 29.0 |
| 28.9 | 22.5 |
| 33.1 | 100.0 |
| 35.2 | 13.7 |
| 40.6 | 14.2 |
| 43.9 | 13.7 |
| 49.5 | 12.5 |
| 54.0 | 24.6 |
| 58.4 | 23.4 |

Crystal structure
a = 6.1776 Å, b = 6.3909 Å, c = 9.0023 Å
α = 90.00°, β = 90.00°, γ = 90.00°
Space group Imma (No. 74)
Inequivalent atoms, fractional coordinates:
1 Al 0.2500 0.2500 0.2500 [4 per cell]
2 Zn 0.0000 0.2500 0.6154 [4 per cell]
3 Pb 0.0000 0.0000 0.0000 [4 per cell]
4 O 0.0000 0.0387 0.2560 [8 per cell]
5 O 0.2371 0.2500 0.4623 [8 per cell]